# 1
# Li3Cu4Ni4
Calculated powder diffraction line list, Cu Kα (weighted mean of Kα1 and Kα2). Input: DFT lattice parameters and positions (PBE).
No peak broadening, texture or thermal motion is included.

Main lines, by angle (5 to 70 degrees two-theta):
| 2θ/deg | intensity | h k l |
| --- | --- | --- |
| 24.83 | 50 | 0 1 1 |
| 30.79 | 23 | 2 0 2 |
| 34.04 | 10 | 2 1 1 |
| 45.20 | 100 | 2 1 3 |
| 46.19 | 25 | 0 2 0 |
| 46.82 | 22 | 4 0 0 |
| 53.71 | 11 | 4 1 1 |
| 67.88 | 13 | 4 2 0 |

Atomic structure:
Unit cell a=7.761 b=3.931 c=8.758 alpha=90.00 beta=90.00 gamma=90.00
Space group Amm2 (No. 38)
Inequivalent atoms, fractional coordinates:
Li (0.000, 0.000, 0.000) (multiplicity 2)
Li (0.283, 0.000, 0.161) (multiplicity 4)
Cu (0.000, 0.000, 0.680) (multiplicity 2)
Cu (0.237, 0.000, 0.502) (multiplicity 4)
Cu (0.500, 0.000, 0.657) (multiplicity 2)
Ni (0.000, 0.000, 0.330) (multiplicity 2)
Ni (0.268, 0.000, 0.837) (multiplicity 4)
Ni (0.500, 0.000, 0.364) (multiplicity 2)

# 2
# KScC
Calculated powder diffraction line list, Cu Kα (weighted mean of Kα1 and Kα2). Input: DFT lattice parameters and positions (PBE).
No peak broadening, texture or thermal motion is included.

Main lines, by angle (5 to 70 degrees two-theta):
| 2θ/deg | intensity | h k l |
| --- | --- | --- |
| 14.31 | 10 | 0 0 1 |
| 28.85 | 58 | 0 0 2 |
| 30.79 | 100 | 2 0 0 |
| 31.27 | 14 | 1 1 -1 |
| 38.73 | 38 | 2 1 -1 |
| 48.94 | 18 | 2 1 1 |
| 49.07 | 18 | 2 1 -3 |
| 52.39 | 14 | 2 0 -4 |

Atomic structure:
Unit cell a=6.577 b=3.287 c=6.999 alpha=90.00 beta=117.82 gamma=90.00
Space group P2 (No. 3)
Inequivalent atoms, fractional coordinates:
K (0.000, 0.000, 0.000) (multiplicity 1)
K (0.500, 0.230, 0.000) (multiplicity 1)
Sc (0.000, 0.617, 0.500) (multiplicity 1)
Sc (0.500, 0.617, 0.500) (multiplicity 1)
C (0.250, 0.117, 0.500) (multiplicity 2)